1.
Simulated powder XRD pattern of Y3NiGe2 for a wavelength of 1.5418 Å, from a crystal structure in the Materials Project, relaxed with PBE.
No peak broadening, texture or thermal motion is included.

Peak list (8 most intense, 2θ = 10–90°, sorted by position)
Position (°2θ), d_spacing, I/Imax
30.93, 2.891, 60
31.99, 2.798, 100
32.58, 2.748, 35
32.92, 2.720, 73
35.71, 2.514, 95
39.14, 2.301, 59
41.66, 2.168, 69
43.44, 2.083, 72

Structural model:
Cell: 11.3862 4.1663 11.3284 Å, 90.00 90.00 90.00°
Positions (direct):
Y 0.0584 0.2500 0.1262
Y 0.1177 0.7500 0.5592
Y 0.2158 0.2500 0.8037
Y 0.2842 0.7500 0.3037
Y 0.3823 0.2500 0.0592
Y 0.4416 0.7500 0.6262
Y 0.5584 0.2500 0.3738
Y 0.6177 0.7500 0.9408
Y 0.7158 0.2500 0.6963
Y 0.7842 0.7500 0.1963
Y 0.8823 0.2500 0.4408
Y 0.9416 0.7500 0.8738
Ni 0.1309 0.2500 0.3664
Ni 0.3691 0.7500 0.8664
Ni 0.6309 0.2500 0.1336
Ni 0.8691 0.7500 0.6336
Ge 0.0217 0.7500 0.3126
Ge 0.1939 0.7500 0.9966
Ge 0.3061 0.2500 0.4966
Ge 0.4783 0.2500 0.8126
Ge 0.5217 0.7500 0.1874
Ge 0.6939 0.7500 0.5034
Ge 0.8061 0.2500 0.0034
Ge 0.9783 0.2500 0.6874

***

2.
Simulated powder XRD pattern of YNi5Ge3 for a wavelength of 1.5418 Å, from a crystal structure in the Materials Project, relaxed with PBE.
No peak broadening, texture or thermal motion is included.

Peak list (8 most intense, 2θ = 10–90°, sorted by position)
Position (°2θ), d_spacing, I/Imax
35.32, 2.541, 23
35.47, 2.531, 34
36.49, 2.462, 22
37.92, 2.373, 100
42.52, 2.126, 23
46.94, 1.936, 51
48.76, 1.867, 30
50.60, 1.804, 21

Structural model:
Cell: 19.1435 3.8716 6.8070 Å, 90.00 90.00 90.00°
Positions (direct):
Y 0.1452 0.2500 0.1215
Y 0.3548 0.7500 0.6215
Y 0.6452 0.2500 0.3785
Y 0.8548 0.7500 0.8785
Ni 0.0039 0.7500 0.1337
Ni 0.0140 0.2500 0.3831
Ni 0.1129 0.2500 0.6426
Ni 0.1999 0.7500 0.8104
Ni 0.2077 0.7500 0.4264
Ni 0.2923 0.2500 0.9264
Ni 0.3001 0.2500 0.3104
Ni 0.3871 0.7500 0.1426
Ni 0.4860 0.7500 0.8831
Ni 0.4961 0.2500 0.6337
Ni 0.5039 0.7500 0.3663
Ni 0.5140 0.2500 0.1169
Ni 0.6129 0.2500 0.8574
Ni 0.6999 0.7500 0.6896
Ni 0.7077 0.7500 0.0736
Ni 0.7923 0.2500 0.5736
Ni 0.8001 0.2500 0.1896
Ni 0.8871 0.7500 0.3574
Ni 0.9860 0.7500 0.6169
Ni 0.9961 0.2500 0.8663
Ge 0.0756 0.7500 0.8506
Ge 0.0865 0.7500 0.4094
Ge 0.2367 0.2500 0.6170
Ge 0.2633 0.7500 0.1170
Ge 0.4135 0.2500 0.9094
Ge 0.4244 0.2500 0.3506
Ge 0.5756 0.7500 0.6494
Ge 0.5865 0.7500 0.0906
Ge 0.7367 0.2500 0.8830
Ge 0.7633 0.7500 0.3830
Ge 0.9135 0.2500 0.5906
Ge 0.9244 0.2500 0.1494

***

3.
Simulated powder XRD pattern of Zn6Ni7Ge2 for a wavelength of 1.5418 Å, from a crystal structure in the Materials Project, relaxed with PBE.
No peak broadening, texture or thermal motion is included.

Peak list (8 most intense, 2θ = 10–90°, sorted by position)
Position (°2θ), d_spacing, I/Imax
13.32, 6.646, 2
21.84, 4.070, 3
25.67, 3.471, 2
31.08, 2.878, 2
38.30, 2.350, 1
44.52, 2.035, 100
64.79, 1.439, 15
82.01, 1.175, 30

Structural model:
Cell: 8.1401 8.1401 8.1401 Å, 60.00 60.00 60.00°
Positions (direct):
Zn 0.0000 0.0000 0.0000
Zn 0.0000 0.0000 0.5000
Zn 0.0000 0.5000 0.0000
Zn 0.2513 0.2513 0.2513
Zn 0.2513 0.2513 0.7460
Zn 0.2513 0.7460 0.2513
Zn 0.2540 0.7487 0.7487
Zn 0.5000 0.0000 0.0000
Zn 0.7460 0.2513 0.2513
Zn 0.7487 0.2540 0.7487
Zn 0.7487 0.7487 0.2540
Zn 0.7487 0.7487 0.7487
Ni 0.1250 0.1250 0.1250
Ni 0.1256 0.1256 0.6244
Ni 0.1256 0.6244 0.1256
Ni 0.1256 0.6244 0.6244
Ni 0.3756 0.3756 0.8744
Ni 0.3756 0.8744 0.3756
Ni 0.3756 0.8744 0.8744
Ni 0.6244 0.1256 0.1256
Ni 0.6244 0.1256 0.6244
Ni 0.6244 0.6244 0.1256
Ni 0.8744 0.3756 0.3756
Ni 0.8744 0.3756 0.8744
Ni 0.8744 0.8744 0.3756
Ni 0.8750 0.8750 0.8750
Ge 0.0000 0.5000 0.5000
Ge 0.5000 0.0000 0.5000
Ge 0.5000 0.5000 0.0000
Ge 0.5000 0.5000 0.5000